Structure and computed XRD peak list of V7Zn (DFT lattice parameters and positions (GGA-PBE); λ = 1.5418 Å (Cu Kα)).

Structure:
abc: 8.5562 8.5562 10.2440
angles: 90.00 90.00 120.00
Space group R-3m (No. 166, hexagonal axes)
Inequivalent atoms, fractional coordinates:
V  0.0000  0.0000  0.1222 x6
V  0.0041  0.5020  0.8710 x18
V  0.0079  0.5039  0.6238 x18
Zn  0.0000  0.0000  0.3749 x6

Main lines, most intense first (15 to 90 degrees two-theta):
- 2.139 Å, 42.25°, I = 100, hkl 2 2 0
- 2.107 Å, 42.93°, I = 95, hkl 0 2 4
- 1.501 Å, 61.81°, I = 29, hkl 4 0 4
- 1.229 Å, 77.72°, I = 28, hkl 2 4 4
- 1.235 Å, 77.25°, I = 14, hkl 6 0 0
- 1.210 Å, 79.14°, I = 13, hkl 2 0 8



Structure and computed XRD peak list of ScCrMo (DFT lattice parameters and positions (GGA-PBE); λ = 1.5418 Å (Cu Kα)).

Structure:
abc: 4.152 10.032 4.667
angles: 90.00 90.00 90.00
Space group Cmcm (No. 63)
Inequivalent atoms, fractional coordinates:
Sc  0.000  0.090  0.250 x4
Cr  0.000  0.238  0.750 x4
Mo  0.000  0.391  0.250 x4

Main lines, most intense first (15 to 90 degrees two-theta):
- 2.274 Å, 39.63°, I = 100, hkl 1 3 1
- 2.333 Å, 38.59°, I = 31, hkl 0 0 2
- 2.076 Å, 43.59°, I = 21, hkl 2 0 0
- 3.417 Å, 26.08°, I = 18, hkl 0 2 1
- 1.335 Å, 70.52°, I = 16, hkl 1 3 3
- 1.551 Å, 59.61°, I = 16, hkl 2 0 2



Structure and computed XRD peak list of Pm3PrGa4 (DFT lattice parameters and positions (GGA-PBE); λ = 1.5418 Å (Cu Kα)).

Structure:
abc: 10.410 7.372 5.206
angles: 90.00 90.00 90.00
Space group Pmma (No. 51)
Inequivalent atoms, fractional coordinates:
Pm  0.000  0.000  0.000 x2
Pm  0.250  0.000  0.498 x2
Pm  0.250  0.500  0.498 x2
Pr  0.000  0.500  0.000 x2
Ga  0.000  0.247  0.500 x4
Ga  0.250  0.247  0.997 x4

Main lines, most intense first (15 to 90 degrees two-theta):
- 2.604 Å, 34.44°, I = 100, hkl 4 0 0
- 1.503 Å, 61.70°, I = 36, hkl 6 2 1
- 1.841 Å, 49.51°, I = 18, hkl 4 0 2
- 3.682 Å, 24.17°, I = 13, hkl 2 0 1
- 1.302 Å, 72.62°, I = 11, hkl 8 0 0
- 1.164 Å, 82.95°, I = 10, hkl 8 0 2



Structure and computed XRD peak list of Tb11Y4Tm9 (DFT lattice parameters and positions (GGA-PBE); λ = 1.5418 Å (Cu Kα)).

Structure:
abc: 16.604 25.164 3.629
angles: 90.00 90.00 90.00
Space group Cmmm (No. 65)
Inequivalent atoms, fractional coordinates:
Tb  0.000  0.000  0.000 x2
Tb  0.000  0.161  0.000 x4
Tb  0.000  0.367  0.000 x4
Tb  0.211  0.500  0.000 x4
Tb  0.224  0.181  0.000 x8
Y  0.156  0.399  0.500 x8
Tm  0.000  0.500  0.500 x2
Tm  0.102  0.267  0.500 x8
Tm  0.140  0.073  0.500 x8

Main lines, most intense first (15 to 90 degrees two-theta):
- 2.949 Å, 30.31°, I = 100, hkl 4 6 0
- 2.732 Å, 32.78°, I = 80, hkl 4 0 1
- 2.744 Å, 32.63°, I = 78, hkl 0 6 1
- 1.545 Å, 59.85°, I = 32, hkl 4 6 2
- 2.940 Å, 30.40°, I = 27, hkl 2 4 1
- 2.854 Å, 31.34°, I = 27, hkl 3 3 1



Structure and computed XRD peak list of ZrW (DFT lattice parameters and positions (GGA-PBE); λ = 1.5418 Å (Cu Kα)).

Structure:
abc: 3.325 4.804 9.613
angles: 90.00 90.00 90.00
Space group Imma (No. 74)
Inequivalent atoms, fractional coordinates:
Zr  0.000  0.250  0.117 x4
W  0.000  0.250  0.644 x4

Main lines, most intense first (15 to 90 degrees two-theta):
- 2.377 Å, 37.86°, I = 100, hkl 1 1 2
- 2.403 Å, 37.43°, I = 50, hkl 0 2 0
- 1.382 Å, 67.81°, I = 30, hkl 1 3 2
- 4.297 Å, 20.67°, I = 20, hkl 0 1 1
- 1.367 Å, 68.65°, I = 17, hkl 2 2 0
- 1.699 Å, 53.97°, I = 16, hkl 0 2 4



Structure and computed XRD peak list of Tb5PmBi6 (DFT lattice parameters and positions (GGA-PBE); λ = 1.5418 Å (Cu Kα)).

Structure:
abc: 7.808 13.526 7.807
angles: 90.00 109.49 90.00
Space group C2/m (No. 12)
Inequivalent atoms, fractional coordinates:
Tb  0.000  0.000  0.000 x2
Tb  0.000  0.167  0.500 x4
Tb  0.000  0.335  0.000 x4
Pm  0.000  0.500  0.500 x2
Bi  0.247  0.000  0.751 x4
Bi  0.247  0.168  0.248 x8

Main lines, most intense first (15 to 90 degrees two-theta):
- 3.187 Å, 27.99°, I = 100, hkl 1 3 1
- 2.254 Å, 40.00°, I = 78, hkl 2 0 2
- 1.425 Å, 65.48°, I = 37, hkl 3 3 3
- 1.840 Å, 49.53°, I = 28, hkl 4 0 0
- 1.301 Å, 72.66°, I = 28, hkl 1 3 5
- 1.594 Å, 57.86°, I = 13, hkl 2 6 2



Structure and computed XRD peak list of Sr5P2NCl (DFT lattice parameters and positions (GGA-PBE); λ = 1.5418 Å (Cu Kα)).

Structure:
abc: 4.957 7.516 14.742
angles: 90.00 90.00 90.00
Space group Immm (No. 71)
Inequivalent atoms, fractional coordinates:
Sr  0.000  0.000  0.000 x2
Sr  0.000  0.274  0.358 x8
P  0.000  0.000  0.206 x4
N  0.000  0.500  0.500 x2
Cl  0.000  0.500  0.000 x2

Main lines, most intense first (15 to 90 degrees two-theta):
- 2.935 Å, 30.46°, I = 100, hkl 1 2 1
- 3.490 Å, 25.52°, I = 98, hkl 1 0 3
- 2.631 Å, 34.07°, I = 72, hkl 0 2 4
- 1.804 Å, 50.59°, I = 45, hkl 2 2 4
- 2.479 Å, 36.24°, I = 41, hkl 2 0 0
- 2.557 Å, 35.09°, I = 33, hkl 1 2 3



Structure and computed XRD peak list of Pu12Si5Pb (DFT lattice parameters and positions (GGA-PBE); λ = 1.5418 Å (Cu Kα)).

Structure:
abc: 8.882 9.139 10.472
angles: 90.00 90.00 90.00
Space group Immm (No. 71)
Inequivalent atoms, fractional coordinates:
Pu  0.000  0.218  0.189 x8
Pu  0.186  0.235  0.500 x8
Pu  0.207  0.500  0.265 x8
Si  0.000  0.000  0.384 x4
Si  0.000  0.500  0.500 x2
Si  0.130  0.000  0.000 x4
Pb  0.000  0.500  0.000 x2

Main lines, most intense first (15 to 90 degrees two-theta):
- 2.721 Å, 32.92°, I = 100, hkl 2 2 2
- 2.648 Å, 33.86°, I = 38, hkl 1 2 3
- 2.285 Å, 39.44°, I = 23, hkl 0 4 0
- 2.849 Å, 31.40°, I = 21, hkl 3 0 1
- 2.480 Å, 36.21°, I = 20, hkl 3 1 2
- 2.618 Å, 34.25°, I = 19, hkl 0 0 4



Structure and computed XRD peak list of PmSm3Au4 (DFT lattice parameters and positions (GGA-PBE); λ = 1.5418 Å (Cu Kα)).

Structure:
abc: 5.2089 5.2089 25.4840
angles: 90.00 90.00 120.00
Space group R-3m (No. 166, hexagonal axes)
Inequivalent atoms, fractional coordinates:
Pm  0.0000  0.0000  0.0000 x3
Sm  0.0000  0.0000  0.2499 x6
Sm  0.0000  0.0000  0.5000 x3
Au  0.0000  0.0000  0.1256 x6
Au  0.0000  0.0000  0.3756 x6

Main lines, most intense first (15 to 90 degrees two-theta):
- 2.603 Å, 34.45°, I = 100, hkl 1 1 0
- 1.503 Å, 61.72°, I = 38, hkl 3 0 0
- 1.841 Å, 49.52°, I = 18, hkl 2 0 8
- 1.164 Å, 82.93°, I = 17, hkl 3 1 8
- 1.302 Å, 72.64°, I = 12, hkl 2 2 0
- 3.682 Å, 24.17°, I = 2, hkl 1 0 4



Structure and computed XRD peak list of Pm3Sc2Hg3 (DFT lattice parameters and positions (GGA-PBE); λ = 1.5418 Å (Cu Kα)).

Structure:
abc: 3.684 5.313 22.010
angles: 90.00 90.00 90.00
Space group Immm (No. 71)
Inequivalent atoms, fractional coordinates:
Pm  0.000  0.000  0.000 x2
Pm  0.000  0.500  0.125 x4
Sc  0.000  0.000  0.238 x4
Hg  0.000  0.000  0.500 x2
Hg  0.000  0.500  0.367 x4

Main lines, most intense first (15 to 90 degrees two-theta):
- 2.653 Å, 33.78°, I = 100, hkl 0 2 0
- 1.532 Å, 60.41°, I = 22, hkl 1 3 4
- 2.751 Å, 32.54°, I = 21, hkl 0 0 8
- 1.911 Å, 47.58°, I = 14, hkl 0 2 8
- 1.569 Å, 58.87°, I = 14, hkl 1 1 12
- 1.326 Å, 71.08°, I = 9, hkl 2 2 8



Structure and computed XRD peak list of SmSc2Ir9 (DFT lattice parameters and positions (GGA-PBE); λ = 1.5418 Å (Cu Kα)).

Structure:
abc: 5.2670 5.2670 25.9249
angles: 90.00 90.00 120.00
Space group R-3m (No. 166, hexagonal axes)
Inequivalent atoms, fractional coordinates:
Sm  0.0000  0.0000  0.0000 x3
Sc  0.0000  0.0000  0.1398 x6
Ir  0.0000  0.0000  0.3339 x6
Ir  0.0000  0.0000  0.5000 x3
Ir  0.0029  0.5014  0.9156 x18

Main lines, most intense first (15 to 90 degrees two-theta):
- 2.249 Å, 40.10°, I = 100, hkl 1 1 6
- 4.492 Å, 19.76°, I = 54, hkl 1 0 1
- 2.088 Å, 43.34°, I = 48, hkl 2 0 5
- 2.160 Å, 41.81°, I = 37, hkl 0 0 12
- 1.942 Å, 46.77°, I = 35, hkl 0 2 7
- 1.124 Å, 86.57°, I = 29, hkl 2 2 12



Structure and computed XRD peak list of LaCeVN4 (DFT lattice parameters and positions (GGA-PBE); λ = 1.5418 Å (Cu Kα)).

Structure:
abc: 5.407 12.762 5.445
angles: 90.00 90.00 90.00
Space group Cmcm (No. 63)
Inequivalent atoms, fractional coordinates:
La  0.000  0.110  0.250 x4
Ce  0.000  0.394  0.250 x4
V  0.000  0.230  0.750 x4
N  0.000  0.088  0.750 x4
N  0.000  0.438  0.750 x4
N  0.250  0.250  0.000 x8

Main lines, most intense first (15 to 90 degrees two-theta):
- 2.849 Å, 31.40°, I = 100, hkl 1 3 1
- 2.723 Å, 32.90°, I = 33, hkl 0 0 2
- 2.704 Å, 33.13°, I = 32, hkl 2 0 0
- 3.674 Å, 24.22°, I = 32, hkl 1 1 1
- 1.918 Å, 47.39°, I = 31, hkl 2 0 2
- 1.646 Å, 55.87°, I = 26, hkl 1 7 1



Please write out number 6 again, unchanged.
Structure and computed XRD peak list of Tb5PmBi6 (DFT lattice parameters and positions (GGA-PBE); λ = 1.5418 Å (Cu Kα)).

Structure:
abc: 7.808 13.526 7.807
angles: 90.00 109.49 90.00
Space group C2/m (No. 12)
Inequivalent atoms, fractional coordinates:
Tb  0.000  0.000  0.000 x2
Tb  0.000  0.167  0.500 x4
Tb  0.000  0.335  0.000 x4
Pm  0.000  0.500  0.500 x2
Bi  0.247  0.000  0.751 x4
Bi  0.247  0.168  0.248 x8

Main lines, most intense first (15 to 90 degrees two-theta):
- 3.187 Å, 27.99°, I = 100, hkl 1 3 1
- 2.254 Å, 40.00°, I = 78, hkl 2 0 2
- 1.425 Å, 65.48°, I = 37, hkl 3 3 3
- 1.840 Å, 49.53°, I = 28, hkl 4 0 0
- 1.301 Å, 72.66°, I = 28, hkl 1 3 5
- 1.594 Å, 57.86°, I = 13, hkl 2 6 2